Simulated PXRD pattern
Compound: ZrTiO3
Radiation: Cu Kα, 1.54184 Å
Structure: a crystal structure in the Materials Project, relaxed with GGA-PBE

Peak list (11 most intense, 10° ≤ 2θ ≤ 90°, in order of rising 2θ)
Position (°2θ)	I_rel
23.0	6
32.8	100
40.5	21
47.1	39
53.1	4
58.6	37
68.8	22
73.6	2
78.4	15
83.0	6
87.6	7

```
data_ZrTiO3
_cell_length_a 3.8591
_cell_length_b 3.8591
_cell_length_c 3.8591
_cell_angle_alpha 90.00
_cell_angle_beta 90.00
_cell_angle_gamma 90.00
_space_group_name_H-M_alt 'P m -3 m'
_space_group_IT_number 221
_space_group_name_Hall '-P 4 2 3'
loop_
_atom_site_label
_atom_site_type_symbol
_atom_site_fract_x
_atom_site_fract_y
_atom_site_fract_z
Zr1 Zr 0.0000 0.0000 0.0000
Ti1 Ti 0.5000 0.5000 0.5000
O1 O 0.0000 0.5000 0.5000
```